1.
Simulated powder diffractogram
Compound: Ho3GaO6
Radiation: copper Kα
Structure: the GGA-PBE geometry in Alexandria

Crystal structure
a = 7.1104 Å, b = 7.1104 Å, c = 5.4129 Å
α = 90.00°, β = 90.00°, γ = 102.82°
Atoms (fractional coordinates):
Ho 0.1018 0.8982 0.5000
Ho 0.2011 0.4122 0.5480
Ho 0.4122 0.2011 0.0480
Ho 0.5878 0.7989 0.5480
Ho 0.7989 0.5878 0.0480
Ho 0.8982 0.1018 0.0000
Ga 0.3067 0.6933 0.0787
Ga 0.6933 0.3067 0.5787
O 0.0768 0.6059 0.2588
O 0.1437 0.1769 0.2751
O 0.1769 0.1437 0.7751
O 0.2843 0.7157 0.7394
O 0.3941 0.9232 0.2588
O 0.4613 0.5387 0.2243
O 0.5387 0.4613 0.7243
O 0.6059 0.0768 0.7588
O 0.7157 0.2843 0.2394
O 0.8231 0.8563 0.2751
O 0.8563 0.8231 0.7751
O 0.9232 0.3941 0.7588

Most intense lines, 2θ from 5° to 70°, most intense first:
- 2θ = 30.6°, intensity 100
- 2θ = 30.9°, intensity 40
- 2θ = 51.4°, intensity 23
- 2θ = 46.2°, intensity 23
- 2θ = 33.1°, intensity 21
- 2θ = 31.3°, intensity 18
- 2θ = 46.9°, intensity 18
- 2θ = 60.3°, intensity 17
- 2θ = 20.8°, intensity 15
- 2θ = 57.6°, intensity 14



2.
Simulated powder diffractogram
Compound: ScGa2SbO8
Radiation: copper Kα
Structure: the GGA-PBE geometry in Alexandria

Crystal structure
a = 5.7306 Å, b = 5.7306 Å, c = 5.7306 Å
α = 109.47°, β = 109.47°, γ = 109.48°
Atoms (fractional coordinates):
Sc 0.0000 0.0000 0.0000
Ga 0.5000 0.5000 0.0000
Ga 0.7500 0.2500 0.5000
Sb 0.2500 0.7500 0.5000
O 0.3036 0.1056 0.8020
O 0.3036 0.5016 0.1980
O 0.3571 0.0443 0.3128
O 0.4984 0.6964 0.8020
O 0.7315 0.0443 0.6872
O 0.8944 0.6964 0.1980
O 0.9557 0.2685 0.3128
O 0.9557 0.6429 0.6872

Most intense lines, 2θ from 5° to 70°, most intense first:
- 2θ = 26.9°, intensity 100
- 2θ = 33.2°, intensity 85
- 2θ = 51.7°, intensity 70
- 2θ = 62.8°, intensity 29
- 2θ = 19.0°, intensity 29
- 2θ = 55.6°, intensity 23
- 2θ = 38.5°, intensity 23
- 2θ = 66.2°, intensity 21
- 2θ = 43.2°, intensity 12
- 2θ = 69.6°, intensity 11